Diffraction record for Hf4CdSiC2. The PXRD pattern is theoretical, not measured: it uses a DFT-relaxed cell (PBE, OQMD) and CuKα.
Neutral-atom scattering factors, no anomalous dispersion.

Crystal structure
a b c (Å): 3.2852 3.2852 14.2383
angles (deg): 90.00 90.00 120.00
Space group P-6m2 (No. 187)
Unique sites:
Hf  0.0000  0.0000  0.1473
Hf  0.3333  0.6667  0.3230
Cd  0.0000  0.0000  0.5000
Si  0.3333  0.6667  0.0000
C  0.6667  0.3333  0.2369

Principal peaks in the range 10° ≤ 2θ ≤ 80°, low angle first:
- (0 0 2), 2θ = 12.4°, I 16
- (1 0 0), 2θ = 31.4°, I 32
- (1 0 1), 2θ = 32.1°, I 11
- (1 0 3), 2θ = 36.8°, I 100
- (0 0 6), 2θ = 37.9°, I 16
- (1 0 6), 2θ = 50.1°, I 12
- (1 1 0), 2θ = 56.0°, I 22
- (1 0 8), 2θ = 61.5°, I 10
- (2 0 3), 2θ = 68.9°, I 16
- (1 1 6), 2θ = 69.6°, I 16

***

Diffraction record for Ho6GaN3. The PXRD pattern is theoretical, not measured: it uses a DFT-relaxed cell (PBE, OQMD) and CuKα.
Neutral-atom scattering factors, no anomalous dispersion.

Crystal structure
a b c (Å): 8.121 8.121 8.713
angles (deg): 90.00 90.00 90.00
Space group I4/mmm (No. 139)
Unique sites:
Ho  0.000  0.000  0.217
Ho  0.000  0.335  0.500
Ga  0.000  0.000  0.500
N  0.000  0.000  0.000
N  0.000  0.500  0.250

Principal peaks in the range 10° ≤ 2θ ≤ 80°, low angle first:
- (2 0 0), 2θ = 21.9°, I 100
- (1 1 2), 2θ = 25.7°, I 94
- (2 1 1), 2θ = 26.6°, I 71
- (1 0 3), 2θ = 32.7°, I 32
- (3 0 1), 2θ = 34.7°, I 68
- (3 1 0), 2θ = 34.9°, I 48
- (2 2 2), 2θ = 37.5°, I 40
- (3 0 3), 2θ = 45.8°, I 61
- (2 0 4), 2θ = 47.3°, I 34
- (3 3 0), 2θ = 47.5°, I 37

***

Diffraction record for Nd2HoAs3. The PXRD pattern is theoretical, not measured: it uses a DFT-relaxed cell (PBE, OQMD) and CuKα.
Neutral-atom scattering factors, no anomalous dispersion.

Crystal structure
a b c (Å): 4.2124 4.2124 10.3108
angles (deg): 90.00 90.00 120.00
Space group P-3m1 (No. 164)
Unique sites:
Nd  0.3333  0.6667  0.3289
Ho  0.0000  0.0000  0.0000
As  0.0000  0.0000  0.5000
As  0.3333  0.6667  0.8425

Principal peaks in the range 10° ≤ 2θ ≤ 80°, low angle first:
- (0 0 3), 2θ = 25.9°, I 20
- (1 0 2), 2θ = 30.0°, I 100
- (1 0 3), 2θ = 35.9°, I 1
- (1 1 0), 2θ = 43.0°, I 75
- (1 0 5), 2θ = 50.8°, I 10
- (0 2 2), 2θ = 53.3°, I 26
- (2 0 4), 2θ = 62.4°, I 12
- (0 1 7), 2θ = 68.7°, I 4
- (2 1 2), 2θ = 70.7°, I 33
- (3 0 0), 2θ = 78.7°, I 25

***

Diffraction record for GaCu9. The PXRD pattern is theoretical, not measured: it uses a DFT-relaxed cell (PBE, OQMD) and CuKα.
Neutral-atom scattering factors, no anomalous dispersion.

Crystal structure
a b c (Å): 2.563 2.563 48.464
angles (deg): 90.00 90.00 90.00
Space group P4/nmm (No. 129, origin choice 2)
Unique sites:
Ga  0.250  0.250  0.141
Cu  0.250  0.250  0.223
Cu  0.250  0.250  0.298
Cu  0.250  0.250  0.372
Cu  0.250  0.250  0.445
Cu  0.250  0.250  0.518
Cu  0.250  0.250  0.591
Cu  0.250  0.250  0.665
Cu  0.250  0.250  0.740
Cu  0.250  0.250  0.815

Principal peaks in the range 10° ≤ 2θ ≤ 80°, low angle first:
- (0 0 6), 2θ = 11.0°, I 4
- (1 0 10), 2θ = 39.8°, I 6
- (1 0 13), 2θ = 42.8°, I 100
- (1 0 14), 2θ = 44.0°, I 82
- (0 0 25), 2θ = 46.9°, I 4
- (1 1 0), 2θ = 50.3°, I 57
- (0 0 27), 2θ = 50.9°, I 19
- (1 1 25), 2θ = 71.2°, I 5
- (2 0 0), 2θ = 74.0°, I 16
- (1 1 27), 2θ = 74.4°, I 22

***

Diffraction record for PrErMg6. The PXRD pattern is theoretical, not measured: it uses a DFT-relaxed cell (PBE, OQMD) and CuKα.
Neutral-atom scattering factors, no anomalous dispersion.

Crystal structure
a b c (Å): 5.198 7.420 5.199
angles (deg): 90.00 90.00 90.00
Space group Pmm2 (No. 25)
Unique sites:
Pr  0.000  0.000  0.000
Er  0.500  0.500  0.492
Mg  0.000  0.257  0.501
Mg  0.000  0.500  0.000
Mg  0.500  0.000  0.494
Mg  0.500  0.257  0.992

Principal peaks in the range 10° ≤ 2θ ≤ 80°, low angle first:
- (1 1 0), 2θ = 20.9°, I 100
- (0 2 0), 2θ = 24.0°, I 18
- (1 0 1), 2θ = 24.2°, I 35
- (1 2 1), 2θ = 34.3°, I 94
- (2 0 0), 2θ = 34.5°, I 47
- (1 3 0), 2θ = 40.4°, I 19
- (2 1 1), 2θ = 40.7°, I 36
- (2 0 2), 2θ = 49.6°, I 16
- (2 4 0), 2θ = 61.4°, I 17
- (3 2 1), 2θ = 61.7°, I 34

***

Diffraction record for GdTa3Pt5. The PXRD pattern is theoretical, not measured: it uses a DFT-relaxed cell (PBE, OQMD) and CuKα.
Neutral-atom scattering factors, no anomalous dispersion.

Crystal structure
a b c (Å): 7.0700 7.0700 3.8055
angles (deg): 90.00 90.00 120.00
Space group P-62m (No. 189)
Unique sites:
Gd  0.0000  0.0000  0.0000
Ta  0.0000  0.5521  0.0000
Pt  0.0000  0.2691  0.5000
Pt  0.3333  0.6667  0.5000

Principal peaks in the range 10° ≤ 2θ ≤ 80°, low angle first:
- (1 1 1), 2θ = 34.6°, I 59
- (2 0 1), 2θ = 37.7°, I 100
- (2 1 0), 2θ = 38.9°, I 34
- (3 0 0), 2θ = 44.4°, I 23
- (2 1 1), 2θ = 45.9°, I 17
- (0 0 2), 2θ = 47.8°, I 24
- (3 0 1), 2θ = 50.8°, I 15
- (2 1 2), 2θ = 63.3°, I 17
- (3 0 2), 2θ = 67.3°, I 14
- (3 2 1), 2θ = 71.6°, I 21

***

Diffraction record for Sr3WN4. The PXRD pattern is theoretical, not measured: it uses a DFT-relaxed cell (PBE, OQMD) and CuKα.
Neutral-atom scattering factors, no anomalous dispersion.

Crystal structure
a b c (Å): 7.889 6.852 5.748
angles (deg): 90.00 90.00 90.00
Space group Pmn2_1 (No. 31)
Unique sites:
Sr  0.000  0.144  0.000
Sr  0.244  0.326  0.499
W  0.000  0.821  0.471
N  0.000  0.091  0.553
N  0.000  0.816  0.147
N  0.204  0.691  0.560

Principal peaks in the range 10° ≤ 2θ ≤ 80°, low angle first:
- (1 1 0), 2θ = 17.1°, I 11
- (1 0 1), 2θ = 19.1°, I 11
- (0 2 0), 2θ = 26.0°, I 38
- (2 1 1), 2θ = 30.4°, I 100
- (0 0 2), 2θ = 31.1°, I 28
- (0 2 2), 2θ = 41.0°, I 19
- (2 3 0), 2θ = 45.9°, I 19
- (2 1 3), 2θ = 54.9°, I 23
- (4 2 1), 2θ = 56.1°, I 13
- (4 0 2), 2θ = 56.5°, I 27

***

Diffraction record for SmGdNi2Ge2. The PXRD pattern is theoretical, not measured: it uses a DFT-relaxed cell (PBE, OQMD) and CuKα.
Neutral-atom scattering factors, no anomalous dispersion.

Crystal structure
a b c (Å): 4.185 4.185 6.557
angles (deg): 90.00 90.00 90.00
Space group P4mm (No. 99)
Unique sites:
Sm  0.000  0.000  0.000
Gd  0.500  0.500  0.380
Ni  0.000  0.500  0.686
Ge  0.000  0.000  0.486
Ge  0.500  0.500  0.885

Principal peaks in the range 10° ≤ 2θ ≤ 80°, low angle first:
- (1 0 1), 2θ = 25.2°, I 31
- (1 1 0), 2θ = 30.2°, I 54
- (1 1 1), 2θ = 33.2°, I 31
- (1 0 2), 2θ = 34.8°, I 63
- (1 1 2), 2θ = 41.1°, I 100
- (2 0 0), 2θ = 43.2°, I 66
- (2 1 2), 2θ = 56.6°, I 31
- (1 0 4), 2θ = 60.7°, I 28
- (2 1 4), 2θ = 77.4°, I 28
- (3 1 2), 2θ = 77.8°, I 29

***

Diffraction record for Cu2Ag7. The PXRD pattern is theoretical, not measured: it uses a DFT-relaxed cell (PBE, OQMD) and CuKα.
Neutral-atom scattering factors, no anomalous dispersion.

Crystal structure
a b c (Å): 2.901 8.624 11.954
angles (deg): 90.00 90.00 90.00
Space group Immm (No. 71)
Unique sites:
Cu  0.000  0.163  0.000
Ag  0.000  0.171  0.337
Ag  0.000  0.500  0.000
Ag  0.000  0.500  0.344

Principal peaks in the range 10° ≤ 2θ ≤ 80°, low angle first:
- (1 0 3), 2θ = 38.4°, I 100
- (0 3 3), 2θ = 38.6°, I 98
- (1 3 0), 2θ = 44.4°, I 66
- (0 0 6), 2θ = 45.5°, I 29
- (2 0 0), 2θ = 64.2°, I 10
- (0 6 0), 2θ = 64.9°, I 10
- (1 3 6), 2θ = 65.5°, I 37
- (2 3 3), 2θ = 77.5°, I 23
- (1 6 3), 2θ = 78.0°, I 22
- (0 3 9), 2θ = 79.5°, I 10

***

Diffraction record for Tb2Ni7. The PXRD pattern is theoretical, not measured: it uses a DFT-relaxed cell (PBE, OQMD) and CuKα.
Neutral-atom scattering factors, no anomalous dispersion.

Crystal structure
a b c (Å): 4.9301 4.9301 36.1691
angles (deg): 90.00 90.00 120.00
Space group R-3m (No. 166, hexagonal axes)
Unique sites:
Tb  0.0000  0.0000  0.0508
Tb  0.0000  0.0000  0.1473
Ni  0.0000  0.0000  0.2782
Ni  0.0000  0.0000  0.3882
Ni  0.0000  0.0000  0.5000
Ni  0.0000  0.5000  0.0000
Ni  0.0006  0.5003  0.8903

Principal peaks in the range 10° ≤ 2θ ≤ 80°, low angle first:
- (1 0 10), 2θ = 32.4°, I 43
- (0 1 11), 2θ = 34.4°, I 34
- (1 1 0), 2θ = 36.4°, I 49
- (0 2 1), 2θ = 42.4°, I 36
- (1 1 9), 2θ = 43.0°, I 100
- (0 0 18), 2θ = 45.1°, I 15
- (2 0 8), 2θ = 47.1°, I 12
- (2 1 10), 2θ = 63.1°, I 13
- (3 0 9), 2θ = 70.1°, I 22
- (2 2 0), 2θ = 77.4°, I 21

***

Diffraction record for LiOs5. The PXRD pattern is theoretical, not measured: it uses a DFT-relaxed cell (PBE, OQMD) and CuKα.
Neutral-atom scattering factors, no anomalous dispersion.

Crystal structure
a b c (Å): 5.0664 5.0664 4.4794
angles (deg): 90.00 90.00 120.00
Space group P6/mmm (No. 191)
Unique sites:
Li  0.0000  0.0000  0.0000
Os  0.0000  0.5000  0.5000
Os  0.3333  0.6667  0.0000

Principal peaks in the range 10° ≤ 2θ ≤ 80°, low angle first:
- (1 0 0), 2θ = 20.2°, I 100
- (0 0 2), 2θ = 40.3°, I 38
- (1 1 1), 2θ = 40.9°, I 79
- (2 0 0), 2θ = 41.1°, I 17
- (1 0 2), 2θ = 45.5°, I 25
- (2 0 1), 2θ = 46.1°, I 97
- (3 0 1), 2θ = 67.4°, I 18
- (1 1 3), 2θ = 73.6°, I 14
- (2 2 0), 2θ = 75.0°, I 19
- (2 0 3), 2θ = 77.3°, I 22